# DySc4Co2
Simulated powder XRD pattern, Cu Kα (weighted mean of Kα1 and Kα2). Input: a crystal structure in Alexandria, relaxed with PBE.
Lines closer than 0.1° are merged.

Structure:
Cell lengths 7.080, 5.872, 7.615 Å; angles 90.00, 113.64, 90.00 degrees
Space group P2_1/m (No. 11)
One atom of each set of equivalent atoms:
Dy1 0.014 0.250 0.163
Sc1 0.243 0.000 0.583
Sc2 0.332 0.750 0.262
Sc3 0.384 0.250 0.015
Co1 0.020 0.250 0.728
Co2 0.420 0.250 0.371

Largest 10 diffraction maxima, by angle, 10° ≤ 2θ ≤ 90°:
(1 0 0), 13.7°, d 6.486, I = 93.1; (1 0 -1), 14.4°, d 6.132, I = 64.9; (1 1 -2), 28.1°, d 3.170, I = 62.8; (0 2 0), 30.4°, d 2.936, I = 92.1; (2 1 -2), 33.0°, d 2.718, I = 96.0; (1 2 -1), 33.8°, d 2.648, I = 66.3; (1 0 -3), 35.4°, d 2.536, I = 69.8; (1 1 2), 37.1°, d 2.423, I = 86.6; (1 2 -2), 38.9°, d 2.316, I = 63.6; (2 2 0), 41.5°, d 2.177, I = 100.0